[1]
Structure and calculated powder XRD pattern of CaMnSiO4 (a DFT-relaxed cell (PBE+U, the Materials Project); a wavelength of 1.5418 Å).

Crystal structure
```
data_CaMnSiO4
_space_group_name_H-M_alt 'P n m a'
_space_group_IT_number 62
_cell_length_a 11.248
_cell_length_b 6.595
_cell_length_c 4.995
_cell_angle_alpha 90.00
_cell_angle_beta 90.00
_cell_angle_gamma 90.00
loop_
_space_group_symop_operation_xyz
'x,y,z'
'-x,-y,-z'
'-x+1/2,-y,z+1/2'
'x+1/2,y,-z+1/2'
'x+1/2,-y+1/2,-z+1/2'
'-x+1/2,y+1/2,z+1/2'
'-x,y+1/2,-z'
'x,-y+1/2,z'
loop_
_atom_site_label
_atom_site_type_symbol
_atom_site_fract_x
_atom_site_fract_y
_atom_site_fract_z
_atom_site_occupancy
Ca1 Ca 0.223 0.250 0.022 1
Mn1 Mn 0.000 0.000 0.500 1
Si1 Si 0.085 0.750 0.085 1
O1 O 0.050 0.250 0.770 1
O2 O 0.082 0.750 0.758 1
O3 O 0.152 0.550 0.219 1
```

Peak list (8 most intense, 5° ≤ 2θ ≤ 70°, by intensity)
33.52°, intensity 100, (1 2 1); 29.79°, intensity 67, (3 0 1); 48.50°, intensity 61, (2 2 2); 32.81°, intensity 56, (3 1 1); 15.76°, intensity 42, (2 0 0); 56.46°, intensity 30, (6 2 0); 55.77°, intensity 27, (0 4 0); 23.70°, intensity 26, (1 1 1)



[2]
Structure and calculated powder XRD pattern of Li2MnSi2O6 (a DFT-relaxed cell (PBE+U, the Materials Project); a wavelength of 1.5418 Å).

Crystal structure
```
data_Li2MnSi2O6
_space_group_name_H-M_alt 'C 1 2/c 1'
_space_group_IT_number 15
_cell_length_a 5.895
_cell_length_b 9.904
_cell_length_c 9.410
_cell_angle_alpha 90.00
_cell_angle_beta 90.99
_cell_angle_gamma 90.00
loop_
_space_group_symop_operation_xyz
'x,y,z'
'-x,-y,-z'
'-x,y,-z+1/2'
'x,-y,z+1/2'
'x+1/2,y+1/2,z'
'-x+1/2,-y+1/2,-z'
'-x+1/2,y+1/2,-z+1/2'
'x+1/2,-y+1/2,z+1/2'
loop_
_atom_site_label
_atom_site_type_symbol
_atom_site_fract_x
_atom_site_fract_y
_atom_site_fract_z
_atom_site_occupancy
Li1 Li 0.063 0.148 0.383 1
Mn1 Mn 0.000 0.246 0.750 1
Si1 Si 0.166 0.470 0.367 1
O1 O 0.000 0.387 0.250 1
O2 O 0.000 0.500 0.000 1
O3 O 0.130 0.132 0.586 1
O4 O 0.244 0.111 0.203 1
```

Peak list (8 most intense, 5° ≤ 2θ ≤ 70°, by intensity)
26.08°, intensity 100, (1 1 2); 20.03°, intensity 85, (1 1 1); 25.65°, intensity 80, (1 1 -2); 18.86°, intensity 71, (0 0 2); 32.43°, intensity 65, (1 3 -1); 40.71°, intensity 50, (2 2 2); 17.51°, intensity 40, (1 1 0); 31.05°, intensity 30, (1 3 0)



[3]
Structure and calculated powder XRD pattern of V2O2F3 (a DFT-relaxed cell (PBE+U, the Materials Project); a wavelength of 1.5418 Å).

Crystal structure
```
data_V2O2F3
_space_group_name_H-M_alt 'C 1 c 1'
_space_group_IT_number 9
_cell_length_a 9.959
_cell_length_b 5.133
_cell_length_c 7.260
_cell_angle_alpha 90.00
_cell_angle_beta 111.08
_cell_angle_gamma 90.00
loop_
_space_group_symop_operation_xyz
'x,y,z'
'x,-y,z+1/2'
'x+1/2,y+1/2,z'
'x+1/2,-y+1/2,z+1/2'
loop_
_atom_site_label
_atom_site_type_symbol
_atom_site_fract_x
_atom_site_fract_y
_atom_site_fract_z
_atom_site_occupancy
V1 V 0.000 0.011 0.000 1
V2 V 0.406 0.012 0.259 1
O1 O 0.420 0.189 0.522 1
O2 O 0.494 0.336 0.233 1
F1 F 0.080 0.312 0.422 1
F2 F 0.203 0.111 0.130 1
F3 F 0.327 0.318 0.842 1
```

Peak list (8 most intense, 5° ≤ 2θ ≤ 70°, by intensity)
19.10°, intensity 100, (2 0 0); 30.15°, intensity 71, (1 1 -2); 26.41°, intensity 30, (2 0 -2); 19.76°, intensity 28, (1 1 0); 40.14°, intensity 27, (3 1 1); 52.35°, intensity 24, (5 1 0); 52.82°, intensity 21, (4 2 -2); 33.80°, intensity 19, (3 1 0)



[4]
Structure and calculated powder XRD pattern of Li9Mn2Co5O16 (a DFT-relaxed cell (PBE+U, the Materials Project); a wavelength of 1.5418 Å).

Crystal structure
```
data_Li9Mn2Co5O16
_space_group_name_H-M_alt 'C 1 m 1'
_space_group_IT_number 8
_cell_length_a 21.102
_cell_length_b 2.892
_cell_length_c 10.263
_cell_angle_alpha 90.00
_cell_angle_beta 113.04
_cell_angle_gamma 90.00
loop_
_space_group_symop_operation_xyz
'x,y,z'
'x,-y,z'
'x+1/2,y+1/2,z'
'x+1/2,-y+1/2,z'
loop_
_atom_site_label
_atom_site_type_symbol
_atom_site_fract_x
_atom_site_fract_y
_atom_site_fract_z
_atom_site_occupancy
Li1 Li 0.000 0.000 0.000 1
Li2 Li 0.000 0.500 0.255 1
Li3 Li 0.004 0.500 0.773 1
Li4 Li 0.128 0.000 0.946 1
Li5 Li 0.246 0.500 0.132 1
Li6 Li 0.250 0.000 0.887 1
Li7 Li 0.251 0.000 0.373 1
Li8 Li 0.256 0.500 0.636 1
Li9 Li 0.497 0.500 0.510 1
Mn1 Mn 0.127 0.000 0.445 1
Mn2 Mn 0.128 0.500 0.705 1
Co1 Co 0.122 0.500 0.169 1
Co2 Co 0.375 0.000 0.819 1
Co3 Co 0.375 0.500 0.071 1
Co4 Co 0.377 0.000 0.321 1
Co5 Co 0.377 0.500 0.571 1
O1 O 0.063 0.500 0.989 1
O2 O 0.070 0.000 0.719 1
O3 O 0.073 0.500 0.484 1
O4 O 0.074 0.000 0.249 1
O5 O 0.179 0.000 0.656 1
O6 O 0.183 0.500 0.426 1
O7 O 0.184 0.500 0.890 1
O8 O 0.185 0.000 0.168 1
O9 O 0.318 0.500 0.847 1
O10 O 0.319 0.000 0.602 1
O11 O 0.319 0.500 0.355 1
O12 O 0.321 0.000 0.103 1
O13 O 0.429 0.000 0.039 1
O14 O 0.434 0.000 0.539 1
O15 O 0.434 0.500 0.788 1
O16 O 0.437 0.500 0.293 1
```

Peak list (8 most intense, 5° ≤ 2θ ≤ 70°, by intensity)
18.27°, intensity 100, (4 0 0); 43.85°, intensity 54, (7 1 -2); 42.81°, intensity 28, (2 0 4); 36.23°, intensity 25, (3 1 -2); 63.12°, intensity 21, (14 0 -4); 62.75°, intensity 15, (9 1 2); 35.44°, intensity 14, (2 0 -4); 47.56°, intensity 13, (5 1 2)



[5]
Structure and calculated powder XRD pattern of LiVO3 (a DFT-relaxed cell (PBE+U, the Materials Project); a wavelength of 1.5418 Å).

Crystal structure
```
data_LiVO3
_space_group_name_H-M_alt 'C 1 2 1'
_space_group_IT_number 5
_cell_length_a 5.259
_cell_length_b 8.388
_cell_length_c 5.366
_cell_angle_alpha 90.00
_cell_angle_beta 114.24
_cell_angle_gamma 90.00
loop_
_space_group_symop_operation_xyz
'x,y,z'
'-x,y,-z'
'x+1/2,y+1/2,z'
'-x+1/2,y+1/2,-z'
loop_
_atom_site_label
_atom_site_type_symbol
_atom_site_fract_x
_atom_site_fract_y
_atom_site_fract_z
_atom_site_occupancy
Li1 Li 0.000 0.000 0.000 1
Li2 Li 0.000 0.362 0.000 1
V1 V 0.000 0.167 0.500 1
V2 V 0.000 0.816 0.500 1
O1 O 0.176 0.988 0.735 1
O2 O 0.215 0.183 0.281 1
O3 O 0.227 0.803 0.288 1
```

Peak list (8 most intense, 5° ≤ 2θ ≤ 70°, by intensity)
18.13°, intensity 100, (0 0 1); 21.34°, intensity 52, (1 1 0); 45.17°, intensity 51, (1 3 1); 40.44°, intensity 31, (2 0 -2); 21.18°, intensity 30, (0 2 0); 28.02°, intensity 30, (0 2 1); 22.58°, intensity 27, (1 1 -1); 37.22°, intensity 19, (1 3 0)



[6]
Structure and calculated powder XRD pattern of Na4ZrMo4O16 (a DFT-relaxed cell (PBE+U, the Materials Project); a wavelength of 1.5418 Å).

Crystal structure
```
data_Na4ZrMo4O16
_space_group_name_H-M_alt 'I 41/a'
_space_group_IT_number 88
_cell_length_a 11.241
_cell_length_b 11.241
_cell_length_c 11.879
_cell_angle_alpha 90.00
_cell_angle_beta 90.00
_cell_angle_gamma 90.00
loop_
_space_group_symop_operation_xyz
'x,y,z'
'-x,-y,-z'
'-y+3/4,x+1/4,z+1/4'
'y+3/4,-x+1/4,-z+1/4'
'-x+1/2,-y,z+1/2'
'x+1/2,y,-z+1/2'
'y+3/4,-x+3/4,z+3/4'
'-y+3/4,x+3/4,-z+3/4'
'x+1/2,y+1/2,z+1/2'
'-x+1/2,-y+1/2,-z+1/2'
'-y+1/4,x+3/4,z+3/4'
'y+1/4,-x+3/4,-z+3/4'
'-x,-y+1/2,z'
'x,y+1/2,-z'
'y+1/4,-x+1/4,z+1/4'
'-y+1/4,x+1/4,-z+1/4'
loop_
_atom_site_label
_atom_site_type_symbol
_atom_site_fract_x
_atom_site_fract_y
_atom_site_fract_z
_atom_site_occupancy
Na1 Na 0.114 0.477 0.346 1
Zr1 Zr 0.000 0.250 0.125 1
Mo1 Mo 0.085 0.429 0.876 1
O1 O 0.046 0.101 0.801 1
O2 O 0.057 0.140 0.273 1
O3 O 0.080 0.080 0.060 1
O4 O 0.170 0.044 0.469 1
```

Peak list (8 most intense, 5° ≤ 2θ ≤ 70°, by intensity)
29.28°, intensity 100, (3 1 2); 10.84°, intensity 74, (1 0 1); 19.17°, intensity 37, (1 2 1); 47.38°, intensity 28, (2 4 4); 24.92°, intensity 27, (3 0 1); 28.70°, intensity 21, (1 2 3); 52.94°, intensity 15, (3 1 6); 60.27°, intensity 15, (1 7 2)